This entry pairs a crystal structure of ZnBi2Se4 with its computed XRD peak list. Radiation: Cu Kα, 1.54184 Å. Structure: a structure optimized by DFT (GGA-PBE).
Intensities are scaled so that the largest is 100.

Structural model:
```
data_ZnBi2Se4
_space_group_name_H-M_alt 'C 1 2/m 1'
_space_group_IT_number 12
_cell_length_a 13.762
_cell_length_b 4.194
_cell_length_c 14.880
_cell_angle_alpha 90.00
_cell_angle_beta 116.99
_cell_angle_gamma 90.00
loop_
_space_group_symop_operation_xyz
'x,y,z'
'-x,-y,-z'
'-x,y,-z'
'x,-y,z'
'x+1/2,y+1/2,z'
'-x+1/2,-y+1/2,-z'
'-x+1/2,y+1/2,-z'
'x+1/2,-y+1/2,z'
loop_
_atom_site_label
_atom_site_type_symbol
_atom_site_fract_x
_atom_site_fract_y
_atom_site_fract_z
_atom_site_occupancy
Zn1 Zn 0.000 0.000 0.000 1
Zn2 Zn 0.000 0.000 0.500 1
Bi1 Bi 0.149 0.500 0.364 1
Bi2 Bi 0.225 0.000 0.873 1
Se1 Se 0.011 0.000 0.666 1
Se2 Se 0.106 0.500 0.931 1
Se3 Se 0.151 0.000 0.168 1
Se4 Se 0.171 0.500 0.557 1
```

The 10 most intense peaks (10° ≤ 2θ ≤ 90°), most intense first:
2θ (°)  I_rel  h k l
29.06  100  3 1 -2
30.67  85  3 1 -3
33.42  48  3 1 1
43.14  44  0 2 0
26.89  40  0 0 4
24.34  33  1 1 1
30.54  27  3 1 0
46.33  26  5 1 -6
41.54  24  6 0 -1
14.56  23  2 0 -2


This entry pairs a crystal structure of Sm3Bi7 with its computed XRD peak list. Radiation: Cu Kα, 1.54184 Å. Structure: a structure optimized by DFT (GGA-PBE).
Intensities are scaled so that the largest is 100.

Structural model:
```
data_Sm3Bi7
_space_group_name_H-M_alt 'I m m m'
_space_group_IT_number 71
_space_group_name_Hall '-I 2 2'
_cell_length_a 4.306
_cell_length_b 15.180
_cell_length_c 19.172
_cell_angle_alpha 90.00
_cell_angle_beta 90.00
_cell_angle_gamma 90.00
loop_
_atom_site_label
_atom_site_type_symbol
_atom_site_fract_x
_atom_site_fract_y
_atom_site_fract_z
_atom_site_occupancy
Sm1 Sm 0.000 0.000 0.173 1
Sm2 Sm 0.000 0.138 0.368 1
Bi1 Bi 0.000 0.000 0.000 1
Bi2 Bi 0.000 0.000 0.500 1
Bi3 Bi 0.000 0.212 0.197 1
Bi4 Bi 0.000 0.336 0.000 1
Bi5 Bi 0.000 0.360 0.414 1
Bi6 Bi 0.000 0.500 0.200 1
```

The 10 most intense peaks (10° ≤ 2θ ≤ 90°), most intense first:
2θ (°)  I_rel  h k l
31.24  100  1 0 5
28.77  94  1 3 2
34.49  56  1 4 3
35.48  39  0 6 0
41.97  39  2 0 0
37.33  37  0 3 7
31.78  34  1 4 1
64.92  26  1 3 12
30.03  22  0 4 4
57.41  22  2 3 7


This entry pairs a crystal structure of SmBi with its computed XRD peak list. Radiation: Cu Kα, 1.54184 Å. Structure: a structure optimized by DFT (GGA-PBE).
Intensities are scaled so that the largest is 100.

Structural model:
```
data_SmBi
_space_group_name_H-M_alt 'P -3 m 1'
_space_group_IT_number 164
_space_group_name_Hall '-P 3 2"'
_cell_length_a 4.5421
_cell_length_b 4.5421
_cell_length_c 11.1445
_cell_angle_alpha 90.00
_cell_angle_beta 90.00
_cell_angle_gamma 120.00
loop_
_atom_site_label
_atom_site_type_symbol
_atom_site_fract_x
_atom_site_fract_y
_atom_site_fract_z
_atom_site_occupancy
Sm1 Sm 0.0000 0.0000 0.0000 1
Sm2 Sm 0.3333 0.6667 0.3323 1
Bi1 Bi 0.0000 0.0000 0.5000 1
Bi2 Bi 0.3333 0.6667 0.8350 1
```

The 10 most intense peaks (10° ≤ 2θ ≤ 90°), most intense first:
2θ (°)  I_rel  h k l
27.76  100  1 0 2
39.66  78  1 1 0
64.88  38  2 1 2
49.10  29  0 2 2
71.96  21  1 2 4
57.34  14  2 0 4
72.02  7  3 0 0
85.52  5  2 2 0
85.40  5  0 2 8
23.98  5  0 1 1


Repeat the first record exactly.
This entry pairs a crystal structure of ZnBi2Se4 with its computed XRD peak list. Radiation: Cu Kα, 1.54184 Å. Structure: a structure optimized by DFT (GGA-PBE).
Intensities are scaled so that the largest is 100.

Structural model:
```
data_ZnBi2Se4
_space_group_name_H-M_alt 'C 1 2/m 1'
_space_group_IT_number 12
_cell_length_a 13.762
_cell_length_b 4.194
_cell_length_c 14.880
_cell_angle_alpha 90.00
_cell_angle_beta 116.99
_cell_angle_gamma 90.00
loop_
_space_group_symop_operation_xyz
'x,y,z'
'-x,-y,-z'
'-x,y,-z'
'x,-y,z'
'x+1/2,y+1/2,z'
'-x+1/2,-y+1/2,-z'
'-x+1/2,y+1/2,-z'
'x+1/2,-y+1/2,z'
loop_
_atom_site_label
_atom_site_type_symbol
_atom_site_fract_x
_atom_site_fract_y
_atom_site_fract_z
_atom_site_occupancy
Zn1 Zn 0.000 0.000 0.000 1
Zn2 Zn 0.000 0.000 0.500 1
Bi1 Bi 0.149 0.500 0.364 1
Bi2 Bi 0.225 0.000 0.873 1
Se1 Se 0.011 0.000 0.666 1
Se2 Se 0.106 0.500 0.931 1
Se3 Se 0.151 0.000 0.168 1
Se4 Se 0.171 0.500 0.557 1
```

The 10 most intense peaks (10° ≤ 2θ ≤ 90°), most intense first:
2θ (°)  I_rel  h k l
29.06  100  3 1 -2
30.67  85  3 1 -3
33.42  48  3 1 1
43.14  44  0 2 0
26.89  40  0 0 4
24.34  33  1 1 1
30.54  27  3 1 0
46.33  26  5 1 -6
41.54  24  6 0 -1
14.56  23  2 0 -2


Copy entry 1 word for word.
This entry pairs a crystal structure of ZnBi2Se4 with its computed XRD peak list. Radiation: Cu Kα, 1.54184 Å. Structure: a structure optimized by DFT (GGA-PBE).
Intensities are scaled so that the largest is 100.

Structural model:
```
data_ZnBi2Se4
_space_group_name_H-M_alt 'C 1 2/m 1'
_space_group_IT_number 12
_cell_length_a 13.762
_cell_length_b 4.194
_cell_length_c 14.880
_cell_angle_alpha 90.00
_cell_angle_beta 116.99
_cell_angle_gamma 90.00
loop_
_space_group_symop_operation_xyz
'x,y,z'
'-x,-y,-z'
'-x,y,-z'
'x,-y,z'
'x+1/2,y+1/2,z'
'-x+1/2,-y+1/2,-z'
'-x+1/2,y+1/2,-z'
'x+1/2,-y+1/2,z'
loop_
_atom_site_label
_atom_site_type_symbol
_atom_site_fract_x
_atom_site_fract_y
_atom_site_fract_z
_atom_site_occupancy
Zn1 Zn 0.000 0.000 0.000 1
Zn2 Zn 0.000 0.000 0.500 1
Bi1 Bi 0.149 0.500 0.364 1
Bi2 Bi 0.225 0.000 0.873 1
Se1 Se 0.011 0.000 0.666 1
Se2 Se 0.106 0.500 0.931 1
Se3 Se 0.151 0.000 0.168 1
Se4 Se 0.171 0.500 0.557 1
```

The 10 most intense peaks (10° ≤ 2θ ≤ 90°), most intense first:
2θ (°)  I_rel  h k l
29.06  100  3 1 -2
30.67  85  3 1 -3
33.42  48  3 1 1
43.14  44  0 2 0
26.89  40  0 0 4
24.34  33  1 1 1
30.54  27  3 1 0
46.33  26  5 1 -6
41.54  24  6 0 -1
14.56  23  2 0 -2